Record 1
Computed powder X-ray diffraction pattern
Compound: Ag2Pd4Pt
Radiation: Cu Kα (λ = 1.5418 Å)
Structure: a crystal structure in Alexandria, relaxed with PBE
Intensities are scaled so that the largest is 100.

Most intense lines, 2θ = 15–90°, low angle first:
16.0°, I = 11
27.7°, I = 21
36.0°, I = 100
36.3°, I = 52
42.9°, I = 39
43.0°, I = 55
43.2°, I = 34
51.8°, I = 12
52.3°, I = 10
54.8°, I = 11
57.2°, I = 17
74.0°, I = 19

Crystal structure
abc: 6.8155 6.8155 6.8155
angles: 109.17 109.17 110.08
Fractional coordinates of all 14 atoms:
1 Ag 0.3750 0.0080 0.1330
2 Ag 0.7580 0.6250 0.6330
3 Ag 0.8750 0.2420 0.8670
4 Ag 0.9920 0.1250 0.3670
5 Pd 0.1357 0.0437 0.7487
6 Pd 0.1370 0.5450 0.7513
7 Pd 0.2950 0.3870 0.2513
8 Pd 0.4550 0.2063 0.5920
9 Pd 0.6130 0.8643 0.9080
10 Pd 0.6143 0.8630 0.4080
11 Pd 0.7937 0.3857 0.2487
12 Pd 0.9563 0.7050 0.0920
13 Pt 0.2500 0.7500 0.5000
14 Pt 0.5000 0.5000 0.0000

=====

Record 2
Computed powder X-ray diffraction pattern
Compound: Er3SeO7
Radiation: Cu Kα (λ = 1.5418 Å)
Structure: a crystal structure in Alexandria, relaxed with PBE
Intensities are scaled so that the largest is 100.

Most intense lines, 2θ = 15–90°, low angle first:
29.5°, I = 100
29.7°, I = 100
34.2°, I = 46
34.7°, I = 21
48.8°, I = 12
49.5°, I = 72
58.2°, I = 21
58.6°, I = 28
59.0°, I = 11
59.1°, I = 14
61.8°, I = 9
80.5°, I = 9

Crystal structure
abc: 6.3799 6.3799 7.3790
angles: 90.00 90.00 108.37
Fractional coordinates of all 22 atoms:
1 Er 0.0331 0.4985 0.2553
2 Er 0.0374 0.0374 0.0000
3 Er 0.4985 0.0331 0.7447
4 Er 0.5015 0.9669 0.2447
5 Er 0.9626 0.9626 0.5000
6 Er 0.9669 0.5015 0.7553
7 Se 0.4932 0.4932 0.5000
8 Se 0.5068 0.5068 0.0000
9 O 0.1302 0.8698 0.7500
10 O 0.1395 0.8605 0.2500
11 O 0.1692 0.4213 0.9780
12 O 0.1961 0.4458 0.5331
13 O 0.4213 0.1692 0.0220
14 O 0.4399 0.5601 0.2500
15 O 0.4458 0.1961 0.4669
16 O 0.5542 0.8039 0.9669
17 O 0.5601 0.4399 0.7500
18 O 0.5787 0.8308 0.5220
19 O 0.8039 0.5542 0.0331
20 O 0.8308 0.5787 0.4780
21 O 0.8605 0.1395 0.7500
22 O 0.8698 0.1302 0.2500

=====

Record 3
Computed powder X-ray diffraction pattern
Compound: Na4Sn2Pb5
Radiation: Cu Kα (λ = 1.5418 Å)
Structure: a crystal structure in Alexandria, relaxed with PBE
Intensities are scaled so that the largest is 100.

Most intense lines, 2θ = 15–90°, low angle first:
18.3°, I = 29
19.7°, I = 24
26.9°, I = 100
31.4°, I = 28
31.7°, I = 60
32.7°, I = 27
33.0°, I = 59
33.2°, I = 56
35.5°, I = 23
42.0°, I = 42
43.1°, I = 45
43.2°, I = 40

Crystal structure
abc: 8.5967 3.3161 11.1771
angles: 90.00 94.57 90.00
Fractional coordinates of all 11 atoms:
1 Na 0.1656 0.0000 0.3927
2 Na 0.2897 0.0000 0.9410
3 Na 0.7103 0.0000 0.0590
4 Na 0.8344 0.0000 0.6073
5 Sn 0.0581 0.5000 0.1332
6 Sn 0.9419 0.5000 0.8668
7 Pb 0.1908 0.5000 0.6673
8 Pb 0.4293 0.5000 0.2043
9 Pb 0.5000 0.5000 0.5000
10 Pb 0.5707 0.5000 0.7957
11 Pb 0.8092 0.5000 0.3327

=====

Record 4
Computed powder X-ray diffraction pattern
Compound: Tm3Co8Cu
Radiation: Cu Kα (λ = 1.5418 Å)
Structure: a crystal structure in Alexandria, relaxed with PBE
Intensities are scaled so that the largest is 100.

Most intense lines, 2θ = 15–90°, low angle first:
22.0°, I = 12
27.8°, I = 5
33.3°, I = 5
36.3°, I = 61
42.9°, I = 100
44.9°, I = 18
65.3°, I = 16
65.4°, I = 4
69.5°, I = 3
69.9°, I = 27
77.1°, I = 21
88.4°, I = 9

Crystal structure
abc: 8.5607 8.5607 8.5607
angles: 33.61 33.61 33.61
Fractional coordinates of all 12 atoms:
1 Tm 0.0000 0.0000 0.0000
2 Tm 0.1293 0.1293 0.1293
3 Tm 0.6157 0.6157 0.6157
4 Co 0.0606 0.0606 0.5601
5 Co 0.0606 0.5601 0.0606
6 Co 0.0655 0.5623 0.5623
7 Co 0.3116 0.3116 0.3116
8 Co 0.5601 0.0606 0.0606
9 Co 0.5623 0.0655 0.5623
10 Co 0.5623 0.5623 0.0655
11 Co 0.8123 0.8123 0.8123
12 Cu 0.4948 0.4948 0.4948

=====

Record 5
Computed powder X-ray diffraction pattern
Compound: NpPt6
Radiation: Cu Kα (λ = 1.5418 Å)
Structure: a crystal structure in Alexandria, relaxed with PBE
Intensities are scaled so that the largest is 100.

Most intense lines, 2θ = 15–90°, low angle first:
33.2°, I = 20
34.1°, I = 69
37.8°, I = 100
38.3°, I = 67
42.9°, I = 67
43.6°, I = 68
54.5°, I = 23
54.9°, I = 21
68.5°, I = 31
78.4°, I = 28
81.0°, I = 24
82.0°, I = 22

Crystal structure
abc: 6.7400 6.7400 5.4034
angles: 90.00 90.00 90.02
Fractional coordinates of all 14 atoms:
1 Np 0.2495 0.7505 0.7500
2 Np 0.7505 0.2495 0.2500
3 Pt 0.0465 0.5460 0.2500
4 Pt 0.0470 0.9530 0.2500
5 Pt 0.2498 0.2498 0.0000
6 Pt 0.2498 0.2498 0.5000
7 Pt 0.4540 0.9535 0.2500
8 Pt 0.4545 0.5455 0.2500
9 Pt 0.5455 0.4545 0.7500
10 Pt 0.5460 0.0465 0.7500
11 Pt 0.7502 0.7502 0.0000
12 Pt 0.7502 0.7502 0.5000
13 Pt 0.9530 0.0470 0.7500
14 Pt 0.9535 0.4540 0.7500

=====

Record 6
Computed powder X-ray diffraction pattern
Compound: TaInRh3
Radiation: Cu Kα (λ = 1.5418 Å)
Structure: a crystal structure in Alexandria, relaxed with PBE
Intensities are scaled so that the largest is 100.

Most intense lines, 2θ = 15–90°, low angle first:
18.8°, I = 4
26.8°, I = 49
32.9°, I = 77
38.2°, I = 100
47.3°, I = 21
55.2°, I = 68
62.3°, I = 9
65.8°, I = 31
69.1°, I = 23
75.5°, I = 11
81.8°, I = 11
88.0°, I = 6

Crystal structure
abc: 4.7097 4.7097 4.7097
angles: 90.00 90.00 90.00
Fractional coordinates of all 5 atoms:
1 Ta 0.0000 0.0000 0.0000
2 In 0.5000 0.5000 0.5000
3 Rh 0.0000 0.5000 0.5000
4 Rh 0.5000 0.0000 0.5000
5 Rh 0.5000 0.5000 0.0000

=====

Record 7
Computed powder X-ray diffraction pattern
Compound: TbNd4S5
Radiation: Cu Kα (λ = 1.5418 Å)
Structure: a crystal structure in Alexandria, relaxed with PBE
Intensities are scaled so that the largest is 100.

Most intense lines, 2θ = 15–90°, low angle first:
27.0°, I = 76
31.3°, I = 100
44.8°, I = 60
44.9°, I = 12
53.1°, I = 25
53.2°, I = 12
55.6°, I = 13
55.8°, I = 13
65.3°, I = 12
74.2°, I = 21
82.6°, I = 12
82.8°, I = 12

Crystal structure
abc: 10.7113 10.7113 10.7113
angles: 158.28 149.05 38.13
Fractional coordinates of all 10 atoms:
1 Tb 0.0000 0.0000 0.0000
2 Nd 0.1984 0.1984 0.0000
3 Nd 0.3996 0.3996 0.0000
4 Nd 0.6004 0.6004 0.0000
5 Nd 0.8016 0.8016 0.0000
6 S 0.0955 0.5955 0.5000
7 S 0.2992 0.7992 0.5000
8 S 0.5000 0.0000 0.5000
9 S 0.7008 0.2008 0.5000
10 S 0.9045 0.4045 0.5000

=====

Copy entry 6 word for word.
Computed powder X-ray diffraction pattern
Compound: TaInRh3
Radiation: Cu Kα (λ = 1.5418 Å)
Structure: a crystal structure in Alexandria, relaxed with PBE
Intensities are scaled so that the largest is 100.

Most intense lines, 2θ = 15–90°, low angle first:
18.8°, I = 4
26.8°, I = 49
32.9°, I = 77
38.2°, I = 100
47.3°, I = 21
55.2°, I = 68
62.3°, I = 9
65.8°, I = 31
69.1°, I = 23
75.5°, I = 11
81.8°, I = 11
88.0°, I = 6

Crystal structure
abc: 4.7097 4.7097 4.7097
angles: 90.00 90.00 90.00
Fractional coordinates of all 5 atoms:
1 Ta 0.0000 0.0000 0.0000
2 In 0.5000 0.5000 0.5000
3 Rh 0.0000 0.5000 0.5000
4 Rh 0.5000 0.0000 0.5000
5 Rh 0.5000 0.5000 0.0000